Structure and theoretical powder diffractogram of K4V3InF12 (a structure optimized by DFT (PBE+U); λ = 1.5418 Å (Cu Kα)).
Lines closer than 0.1° are merged.

Atomic structure:
Lattice parameters (Å, degrees): 7.472 7.472 7.472 109.47 109.47 109.47
Positions (direct):
K  0.000  0.000  0.500
K  0.000  0.500  0.000
K  0.500  0.000  0.000
K  0.500  0.500  0.500
V  0.000  0.500  0.500
V  0.500  0.000  0.500
V  0.500  0.500  0.000
In  0.000  0.000  0.000
F  0.000  0.259  0.259
F  0.000  0.741  0.741
F  0.250  0.500  0.750
F  0.250  0.750  0.500
F  0.259  0.000  0.259
F  0.259  0.259  0.000
F  0.500  0.250  0.750
F  0.500  0.750  0.250
F  0.741  0.000  0.741
F  0.741  0.741  0.000
F  0.750  0.250  0.500
F  0.750  0.500  0.250

The 10 most intense peaks (2θ from 10° to 80°), sorted by position:
14.52°, d 6.101, I 146
20.59°, d 4.314, I 335
25.28°, d 3.522, I 86
29.28°, d 3.050, I 1000
41.88°, d 2.157, I 629
47.11°, d 1.929, I 138
51.92°, d 1.761, I 368
60.72°, d 1.525, I 353
68.82°, d 1.364, I 154
76.49°, d 1.245, I 107